(1)
This entry pairs a crystal structure of Cr8Ru with its calculated powder XRD pattern. Radiation: Cu Kα (λ = 1.5418 Å). Structure: DFT lattice parameters and positions (GGA-PBE).
Lines closer than 0.1° are merged.

Crystal structure
```
data_Cr8Ru
_chemical_formula_sum 'Cr16 Ru2'
_cell_length_a 8.633
_cell_length_b 8.633
_cell_length_c 2.874
_cell_angle_alpha 90.00
_cell_angle_beta 90.00
_cell_angle_gamma 90.00
_space_group_name_H-M_alt 'I 4/m m m'
_space_group_IT_number 139
_space_group_name_Hall '-I 4 2'
loop_
_atom_site_label
_atom_site_fract_x
_atom_site_fract_y
_atom_site_fract_z
Cr1 0.000 0.335 0.000
Cr2 0.172 0.172 0.500
Ru1 0.000 0.000 0.000
```

The 10 most intense peaks (2θ = 10–90°), sorted by position:
2θ = 14.5°, I 3, (1 1 0); 2θ = 20.6°, I 1, (2 0 0); 2θ = 29.3°, I 2, (2 2 0); 2θ = 32.8°, I 4, (3 1 0); 2θ = 39.1°, I 2, (2 1 1); 2θ = 44.5°, I 100, (3 0 1); 2θ = 62.8°, I 1, (4 3 1); 2θ = 64.8°, I 15, (0 0 2); 2θ = 66.8°, I 1, (5 2 1); 2θ = 82.1°, I 28, (3 3 2)

---

(2)
This entry pairs a crystal structure of Cr11Ru4 with its calculated powder XRD pattern. Radiation: Cu Kα (λ = 1.5418 Å). Structure: DFT lattice parameters and positions (GGA-PBE).
Lines closer than 0.1° are merged.

Crystal structure
```
data_Cr11Ru4
_chemical_formula_sum 'Cr22 Ru8'
_cell_length_a 8.978
_cell_length_b 8.978
_cell_length_c 4.618
_cell_angle_alpha 90.00
_cell_angle_beta 90.00
_cell_angle_gamma 90.00
_space_group_name_H-M_alt 'P 42/m n m'
_space_group_IT_number 136
_space_group_name_Hall '-P 4n 2n'
loop_
_atom_site_label
_atom_site_fract_x
_atom_site_fract_y
_atom_site_fract_z
Cr1 0.000 0.000 0.000
Cr2 0.061 0.252 0.000
Cr3 0.093 0.093 0.500
Cr4 0.187 0.813 0.253
Ru1 0.034 0.357 0.500
```

The 10 most intense peaks (2θ = 10–90°), sorted by position:
2θ = 13.9°, I 18, (1 1 0); 2θ = 35.8°, I 23, (3 0 1); 2θ = 39.0°, I 29, (0 0 2); 2θ = 41.5°, I 71, (4 1 0); 2θ = 42.7°, I 40, (3 3 0); 2θ = 44.1°, I 32, (2 0 2); 2θ = 45.3°, I 38, (2 1 2); 2θ = 46.1°, I 100, (4 1 1); 2θ = 47.2°, I 33, (3 3 1); 2θ = 75.7°, I 22, (4 1 3)

---

(3)
This entry pairs a crystal structure of CrRu2S with its calculated powder XRD pattern. Radiation: Cu Kα (λ = 1.5418 Å). Structure: DFT lattice parameters and positions (GGA-PBE).
Lines closer than 0.1° are merged.

Crystal structure
```
data_CrRu2S
_chemical_formula_sum 'Cr4 Ru8 S4'
_cell_length_a 5.263
_cell_length_b 5.263
_cell_length_c 10.350
_cell_angle_alpha 90.00
_cell_angle_beta 90.00
_cell_angle_gamma 90.00
_space_group_name_H-M_alt 'I -4 2 d'
_space_group_IT_number 122
_space_group_name_Hall 'I -4 2bw'
loop_
_atom_site_label
_atom_site_fract_x
_atom_site_fract_y
_atom_site_fract_z
Cr1 0.000 0.000 0.000
Ru1 0.246 0.250 0.625
S1 0.000 0.000 0.500
```

The 10 most intense peaks (2θ = 10–90°), sorted by position:
2θ = 29.6°, I 100, (1 1 2); 2θ = 34.1°, I 10, (2 0 0); 2θ = 34.7°, I 5, (0 0 4); 2θ = 48.9°, I 20, (2 2 0); 2θ = 49.4°, I 39, (2 0 4); 2θ = 58.2°, I 28, (3 1 2); 2θ = 59.0°, I 13, (1 1 6); 2θ = 71.7°, I 6, (4 0 0); 2θ = 79.4°, I 5, (3 3 2); 2θ = 80.1°, I 11, (3 1 6)

---

(4)
This entry pairs a crystal structure of ScCr2Ru2 with its calculated powder XRD pattern. Radiation: Cu Kα (λ = 1.5418 Å). Structure: DFT lattice parameters and positions (GGA-PBE).
Lines closer than 0.1° are merged.

Crystal structure
```
data_ScCr2Ru2
_chemical_formula_sum 'Sc2 Cr4 Ru4'
_cell_length_a 7.287
_cell_length_b 7.287
_cell_length_c 2.818
_cell_angle_alpha 90.00
_cell_angle_beta 90.00
_cell_angle_gamma 90.00
_space_group_name_H-M_alt 'P 4/m b m'
_space_group_IT_number 127
_space_group_name_Hall '-P 4 2ab'
loop_
_atom_site_label
_atom_site_fract_x
_atom_site_fract_y
_atom_site_fract_z
Sc1 0.000 0.000 0.000
Cr1 0.160 0.340 0.500
Ru1 0.135 0.635 0.000
```

The 10 most intense peaks (2θ = 10–90°), sorted by position:
2θ = 17.2°, I 27, (1 1 0); 2θ = 27.4°, I 15, (2 1 0); 2θ = 31.8°, I 10, (0 0 1); 2θ = 39.1°, I 53, (3 1 0); 2θ = 42.4°, I 100, (2 1 1); 2θ = 50.1°, I 14, (4 0 0); 2θ = 51.2°, I 11, (3 1 1); 2θ = 56.0°, I 13, (3 2 1); 2θ = 78.4°, I 20, (5 2 1); 2θ = 79.8°, I 12, (3 1 2)